1.
Simulated powder diffraction line list of Ac2Mg6Pb3 for Cu Ka, from a PBE-relaxed structure.
Peak positions follow from Bragg's law for the DFT cell and can differ from measured ones.

Atomic structure:
Lattice parameters (Å, degrees): 8.794 8.794 4.707 90.00 90.00 120.00
Positions (direct):
Ac  0.333  0.667  0.000
Ac  0.667  0.333  0.000
Mg  0.000  0.272  0.500
Mg  0.000  0.805  0.000
Mg  0.195  0.195  0.000
Mg  0.272  0.000  0.500
Mg  0.728  0.728  0.500
Mg  0.805  0.000  0.000
Pb  0.000  0.605  0.500
Pb  0.395  0.395  0.500
Pb  0.605  0.000  0.500

Main lines, by angle (10 to 90 degrees two-theta):
Position (°2θ)	intensity	hkl
11.62	39	1 0 0
20.19	31	1 1 0
27.76	100	1 1 1
30.19	32	2 0 1
35.36	28	3 0 0
36.59	25	2 1 1

---

2.
Simulated powder diffraction line list of NaAcMgGe2 for Cu Ka, from a PBE-relaxed structure.
Peak positions follow from Bragg's law for the DFT cell and can differ from measured ones.

Atomic structure:
Lattice parameters (Å, degrees): 4.541 4.541 12.243 90.00 90.00 90.00
Positions (direct):
Na  0.000  0.000  0.000
Na  0.500  0.500  0.500
Ac  0.000  0.500  0.250
Ac  0.500  0.000  0.750
Mg  0.000  0.000  0.500
Mg  0.500  0.500  0.000
Ge  0.000  0.500  0.645
Ge  0.000  0.500  0.855
Ge  0.500  0.000  0.145
Ge  0.500  0.000  0.355

Main lines, by angle (10 to 90 degrees two-theta):
Position (°2θ)	intensity	hkl
14.47	69	0 0 2
27.79	74	1 1 0
29.43	97	1 0 3
31.46	100	1 1 2
39.70	50	2 0 0
41.92	66	1 0 5